Computed powder diffractogram of TbB6N6 for a wavelength of 1.5418 Å, from a PBE-relaxed structure.
Lines closer than 0.1° are merged.

Structural model:
a = 4.654 Å, b = 4.654 Å, c = 4.654 Å
α = 90.00°, β = 90.00°, γ = 90.00°
Element x y z (fractional)
Tb1 0.000 0.000 0.000
B1 0.000 0.238 0.500
B2 0.000 0.762 0.500
B3 0.238 0.500 0.000
B4 0.500 0.000 0.238
B5 0.500 0.000 0.762
B6 0.762 0.500 0.000
N1 0.000 0.500 0.249
N2 0.000 0.500 0.751
N3 0.249 0.000 0.500
N4 0.500 0.249 0.000
N5 0.500 0.751 0.000
N6 0.751 0.000 0.500

Most intense lines, 10° ≤ 2θ ≤ 90°, low angle first:
- 19.07°, intensity 100, hkl 1 0 0
- 27.10°, intensity 41, hkl 1 1 0
- 33.35°, intensity 31, hkl 1 1 1
- 38.70°, intensity 26, hkl 2 0 0
- 43.48°, intensity 49, hkl 2 0 1
- 47.88°, intensity 55, hkl 2 1 1
- 59.60°, intensity 23, hkl 2 2 1
- 63.18°, intensity 10, hkl 3 1 0
- 66.65°, intensity 13, hkl 3 1 1
- 73.35°, intensity 10, hkl 3 2 0
- 76.61°, intensity 26, hkl 3 1 2
- 86.16°, intensity 13, hkl 4 1 0